Simulated powder diffractogram
Compound: La2TbSi3Pt12
Radiation: Cu Ka
Structure: the GGA-PBE geometry in Alexandria
Neutral-atom scattering factors, no anomalous dispersion.

Crystal structure
Lattice parameters (Å, degrees): 8.3517 8.3517 18.2642 90.00 90.00 120.00
Space group R-3m (No. 166, hexagonal axes)
Inequivalent atoms, fractional coordinates:
1 La 0.0000 0.0000 0.1011 (multiplicity 6)
2 Tb 0.0000 0.0000 0.5000 (multiplicity 3)
3 Si 0.0000 0.5000 0.0000 (multiplicity 9)
4 Pt 0.0300 0.5150 0.8709 (multiplicity 18)
5 Pt 0.0348 0.5174 0.3659 (multiplicity 18)

Largest 10 diffraction maxima, by angle, 5° ≤ 2θ ≤ 70°:
Position (°2θ)  Rel. int.
23.03  18
31.56  100
34.24  26
38.38  13
43.34  59
47.07  42
48.15  12
54.59  17
65.29  11
65.89  13